Starting from a DFT-relaxed cell (PBE, Alexandria), the powder XRD pattern of Tm2ScIn4 was computed for Cu Kα X-rays.

Structural model:
```
data_Tm2ScIn4
_chemical_formula_sum 'Tm4 Sc2 In8'
_cell_length_a 6.9999
_cell_length_b 6.9999
_cell_length_c 7.7195
_cell_angle_alpha 90.00
_cell_angle_beta 90.00
_cell_angle_gamma 90.00
_space_group_name_H-M_alt 'I 4/m m m'
_space_group_IT_number 139
_space_group_name_Hall '-I 4 2'
loop_
_atom_site_label
_atom_site_fract_x
_atom_site_fract_y
_atom_site_fract_z
Tm1 0.0000 0.5000 0.0000
Sc1 0.0000 0.0000 0.0000
In1 0.2500 0.2500 0.2500
```

Top 6 peaks for 2θ = 5–70°, by intensity:
2theta, d/Å, Rel. int., index
34.60, 2.593, 100, 2 0 2
36.30, 2.475, 44, 2 2 0
64.21, 1.451, 32, 4 2 2
17.92, 4.950, 29, 1 1 0
60.87, 1.522, 19, 2 2 4
29.34, 3.044, 18, 1 1 2